This entry pairs a crystal structure of Li2VF5 with its simulated X-ray diffraction stick pattern. Radiation: Cu Kα X-rays. Structure: DFT lattice parameters and positions (GGA+U).
Neutral-atom scattering factors, no anomalous dispersion.

Most intense lines, 5 to 70 degrees two-theta, by angle:
| 2theta | intensity | (hkl) |
| --- | --- | --- |
| 17.44 | 100 | 1 0 1 |
| 19.43 | 39 | 2 0 0 |
| 20.19 | 14 | 0 1 1 |
| 28.20 | 31 | 0 2 0 |
| 33.36 | 12 | 1 2 1 |
| 37.58 | 21 | 2 2 1 |
| 41.04 | 19 | 0 2 2 |
| 42.06 | 12 | 4 1 0 |
| 54.44 | 16 | 1 2 3 |
| 58.31 | 15 | 0 4 0 |
| 60.44 | 12 | 5 2 1 |
| 61.44 | 11 | 1 0 4 |

Cell and atoms:
```
data_Li2VF5
_chemical_formula_sum 'Li8 V4 F20'
_cell_length_a 9.1348
_cell_length_b 6.3268
_cell_length_c 6.1190
_cell_angle_alpha 90.00
_cell_angle_beta 90.00
_cell_angle_gamma 90.00
_space_group_name_H-M_alt 'P 1'
_space_group_IT_number 1
loop_
_space_group_symop_operation_xyz
'x,y,z'
loop_
_atom_site_label
_atom_site_type_symbol
_atom_site_fract_x
_atom_site_fract_y
_atom_site_fract_z
Li1 Li 0.1719 0.0288 0.0439
Li2 Li 0.1719 0.4712 0.0439
Li3 Li 0.3281 0.5288 0.5439
Li4 Li 0.3281 0.9712 0.5439
Li5 Li 0.6719 0.0288 0.4561
Li6 Li 0.6719 0.4712 0.4561
Li7 Li 0.8281 0.5288 0.9561
Li8 Li 0.8281 0.9712 0.9561
V1 V 0.0175 0.2500 0.5613
V2 V 0.4825 0.7500 0.0613
V3 V 0.5175 0.2500 0.9387
V4 V 0.9825 0.7500 0.4387
F1 F 0.0557 0.2500 0.8897
F2 F 0.0675 0.0334 0.3254
F3 F 0.0675 0.4666 0.3254
F4 F 0.1796 0.7500 0.5824
F5 F 0.2390 0.2500 0.5776
F6 F 0.2610 0.7500 0.0776
F7 F 0.3204 0.2500 0.0824
F8 F 0.4325 0.5334 0.8254
F9 F 0.4325 0.9666 0.8254
F10 F 0.4443 0.7500 0.3897
F11 F 0.5557 0.2500 0.6103
F12 F 0.5675 0.0334 0.1746
F13 F 0.5675 0.4666 0.1746
F14 F 0.6796 0.7500 0.9176
F15 F 0.7390 0.2500 0.9224
F16 F 0.7610 0.7500 0.4224
F17 F 0.8204 0.2500 0.4176
F18 F 0.9325 0.5334 0.6746
F19 F 0.9325 0.9666 0.6746
F20 F 0.9443 0.7500 0.1103
```